No. 1
Theoretical powder diffraction line list of LiCr2Cu2W4O16 for Cu Kα X-rays, from a DFT-relaxed cell (GGA+U, Alexandria).
Lines closer than 0.1° are merged.

Structure:
```
data_LiCr2Cu2W4O16
_cell_length_a 5.115
_cell_length_b 7.395
_cell_length_c 7.522
_cell_angle_alpha 101.63
_cell_angle_beta 91.09
_cell_angle_gamma 90.15
_symmetry_space_group_name_H-M 'P 1'
_symmetry_Int_Tables_number 1
loop_
_symmetry_equiv_pos_as_xyz
'x,y,z'
loop_
_atom_site_label
_atom_site_fract_x
_atom_site_fract_y
_atom_site_fract_z
Li1 0.000 0.000 0.000
Cr1 0.488 0.643 0.912
Cr2 0.996 0.285 0.270
Cu1 0.499 0.123 0.425
Cu2 0.994 0.763 0.721
W1 0.498 0.132 0.921
W2 0.500 0.620 0.421
W3 0.991 0.292 0.756
W4 0.996 0.785 0.255
O1 0.127 0.024 0.269
O2 0.148 0.257 0.016
O3 0.158 0.522 0.792
O4 0.186 0.762 0.491
O5 0.308 0.155 0.684
O6 0.321 0.653 0.166
O7 0.331 0.888 0.908
O8 0.336 0.391 0.387
O9 0.628 0.645 0.658
O10 0.669 0.386 0.886
O11 0.674 0.161 0.147
O12 0.683 0.863 0.394
O13 0.820 0.045 0.779
O14 0.825 0.534 0.288
O15 0.825 0.761 0.031
O16 0.860 0.275 0.520
```

Largest 10 diffraction maxima, low angle first, 10° ≤ 2θ ≤ 90°:
two_theta, I (rel.)
18.8, 60
23.1, 25
23.3, 26
24.2, 33
24.6, 39
29.6, 54
30.2, 100
30.3, 46
35.1, 36
35.5, 27

=====

No. 2
Theoretical powder diffraction line list of Li4Cr3Cu3W2O16 for Cu Kα X-rays, from a DFT-relaxed cell (GGA+U, Alexandria).
Lines closer than 0.1° are merged.

Structure:
```
data_Li4Cr3Cu3W2O16
_cell_length_a 5.886
_cell_length_b 5.932
_cell_length_c 9.827
_cell_angle_alpha 92.91
_cell_angle_beta 90.97
_cell_angle_gamma 118.65
_symmetry_space_group_name_H-M 'P 1'
_symmetry_Int_Tables_number 1
loop_
_symmetry_equiv_pos_as_xyz
'x,y,z'
loop_
_atom_site_label
_atom_site_fract_x
_atom_site_fract_y
_atom_site_fract_z
Li1 0.000 0.000 0.000
Li2 0.010 0.028 0.505
Li3 0.341 0.703 0.575
Li4 0.675 0.330 0.077
Cr1 0.166 0.831 0.273
Cr2 0.661 0.834 0.275
Cr3 0.830 0.666 0.772
Cu1 0.171 0.341 0.277
Cu2 0.338 0.176 0.776
Cu3 0.828 0.172 0.776
W1 0.340 0.658 0.003
W2 0.673 0.366 0.501
O1 0.001 0.006 0.692
O2 0.048 0.513 0.144
O3 0.141 0.786 0.911
O4 0.171 0.323 0.906
O5 0.332 0.180 0.397
O6 0.336 0.670 0.373
O7 0.472 0.959 0.147
O8 0.513 0.075 0.636
O9 0.519 0.546 0.130
O10 0.546 0.539 0.625
O11 0.641 0.804 0.900
O12 0.666 0.339 0.868
O13 0.792 0.153 0.410
O14 0.833 0.666 0.386
O15 0.973 0.522 0.627
O16 0.995 0.008 0.187
```

Largest 10 diffraction maxima, low angle first, 10° ≤ 2θ ≤ 90°:
two_theta, I (rel.)
18.8, 26
19.1, 33
19.5, 36
19.8, 100
24.1, 17
33.9, 18
34.6, 18
35.3, 21
36.4, 23
36.7, 21